Diffraction record for AlNiAg2F6. The powder X-ray diffraction pattern is theoretical, not measured: it uses a cell relaxed with PBE+U and Cu Kα (weighted mean of Kα1 and Kα2).
Kinematic intensities with the Lorentz-polarization factor, no thermal factor.

Structure:
```
AlNiAg2F6
1.0
4.958 0.000 0.000
0.105 5.265 0.000
1.289 2.133 4.980
Al Ni Ag F
1 1 2 6
direct
0.000 0.000 0.000
0.500 0.500 0.000
0.309 0.694 0.523
0.691 0.306 0.477
0.146 0.658 0.133
0.208 0.072 0.664
0.277 0.156 0.079
0.723 0.844 0.921
0.792 0.928 0.336
0.854 0.342 0.867
```

Main lines, by angle (2θ = 5–70°):
2θ = 27.14°, intensity 100.0
2θ = 29.24°, intensity 65.8
2θ = 34.51°, intensity 50.1
2θ = 36.07°, intensity 53.8
2θ = 36.38°, intensity 44.9
2θ = 40.44°, intensity 46.3